# 1
Starting from DFT lattice parameters and positions (GGA-PBE), the X-ray diffraction stick pattern of DyPdPb was calculated for Cu Ka.

Atomic structure:
```
9
Lattice="7.8667 0.0000 0.0000 -3.9334 6.8128 0.0000 0.0000 0.0000 3.8869" Properties=species:S:1:pos:R:3 pbc="T T T"
Dy -2.3572 4.0828 0.0000
Dy 1.5762 2.7300 0.0000
Dy 4.7144 0.0000 0.0000
Pd 0.0000 0.0000 0.0000
Pd 0.0000 4.5419 1.9434
Pd 3.9334 2.2709 1.9434
Pb -1.0451 1.8102 1.9434
Pb 2.0902 0.0000 1.9434
Pb 2.8883 5.0026 1.9434
```

Largest 10 diffraction maxima, sorted by position, 10° ≤ 2θ ≤ 90°:
2θ/deg	I_rel
32.4	100
34.8	48
35.0	59
39.7	38
42.1	22
46.7	20
59.6	21
62.9	20
64.2	31
82.7	10

=====

# 2
Starting from DFT lattice parameters and positions (GGA-PBE), the X-ray diffraction stick pattern of La2ZnSnO6 was calculated for Cu Ka.

Atomic structure:
```
10
Lattice="2.9001 1.6744 4.6221 -2.9001 1.6744 4.6221 0.0000 -3.3487 4.6221" Properties=species:S:1:pos:R:3 pbc="T T T"
La 0.0000 0.0000 3.4556
La 0.0000 0.0000 10.4106
Zn 0.0000 0.0000 6.9331
Sn 0.0000 0.0000 0.0000
O -1.7444 0.3903 5.7831
O -1.2102 -1.3156 8.0831
O 0.5342 -1.7058 5.7831
O -0.5342 1.7058 8.0831
O 1.2102 1.3156 5.7831
O 1.7444 -0.3903 8.0831
```

Largest 10 diffraction maxima, sorted by position, 10° ≤ 2θ ≤ 90°:
2θ/deg	I_rel
30.8	95
31.4	100
44.5	53
54.8	26
55.2	43
56.1	20
64.2	14
65.4	16
73.2	17
74.1	18

=====

# 3
Starting from DFT lattice parameters and positions (GGA-PBE), the X-ray diffraction stick pattern of CeGaIr was calculated for Cu Ka.

Atomic structure:
```
12
Lattice="6.8762 0.0000 0.0000 0.0000 4.3677 0.0000 0.0000 0.0000 7.8881" Properties=species:S:1:pos:R:3 pbc="T T T"
Ce 0.2086 1.0919 1.4851
Ce 3.2295 3.2758 5.4292
Ce 3.6467 1.0919 2.4589
Ce 6.6676 3.2758 6.4030
Ga 1.0325 1.0919 4.4849
Ga 2.4056 3.2758 0.5409
Ga 4.4706 1.0919 7.3472
Ga 5.8437 3.2758 3.4032
Ir 1.6447 3.2758 3.0726
Ir 1.7934 1.0919 7.0167
Ir 5.0828 3.2758 0.8714
Ir 5.2315 1.0919 4.8154
```

Largest 10 diffraction maxima, sorted by position, 10° ≤ 2θ ≤ 90°:
2θ/deg	I_rel
26.0	25
26.7	33
33.3	37
34.6	17
35.1	100
40.0	48
41.3	42
42.2	17
45.8	24
63.4	19

=====

# 4
Starting from DFT lattice parameters and positions (GGA-PBE), the X-ray diffraction stick pattern of Hf3ZnF6 was calculated for Cu Ka.

Atomic structure:
```
10
Lattice="5.5498 0.0000 0.0000 -2.2537 5.0777 0.0000 -1.0569 -1.0471 11.6676" Properties=species:S:1:pos:R:3 pbc="T T T"
Hf 0.0000 0.0000 0.0000
Hf -1.6553 2.0153 5.8338
Hf 2.2465 -0.5235 5.8338
Zn -0.5285 -0.5235 5.8338
F 0.4778 1.0083 1.5590
F -0.2780 2.9198 4.5260
F -0.3211 2.9589 7.1747
F 2.5603 1.0718 4.4930
F 2.5172 1.1108 7.1416
F 1.7614 3.0223 10.1087
```

Largest 10 diffraction maxima, sorted by position, 10° ≤ 2θ ≤ 90°:
2θ/deg	I_rel
15.2	100
17.6	19
20.4	38
20.7	37
30.7	12
35.5	21
35.6	12
37.2	12
37.5	15
40.1	16

=====

# 5
Starting from DFT lattice parameters and positions (GGA-PBE), the X-ray diffraction stick pattern of UB2C was calculated for Cu Ka.

Atomic structure:
```
12
Lattice="3.2736 1.8900 3.5644 -3.2736 1.8900 3.5644 0.0000 -3.7800 3.5644" Properties=species:S:1:pos:R:3 pbc="T T T"
U 0.0000 0.0000 0.0000
U 0.0000 0.0000 3.3175
U 0.0000 0.0000 7.3757
B -0.8873 -1.5369 5.3466
B -1.7746 0.0000 5.3466
B 0.8873 -1.5369 5.3466
B -0.8873 1.5369 5.3466
B 1.7746 0.0000 5.3466
B 0.8873 1.5369 5.3466
C -3.2736 0.0000 5.3466
C -1.6368 0.9450 1.7822
C 1.6368 0.9450 1.7822
```

Largest 10 diffraction maxima, sorted by position, 10° ≤ 2θ ≤ 90°:
2θ/deg	I_rel
25.0	29
27.2	100
37.3	95
48.1	26
55.0	32
56.2	16
59.0	14
62.4	20
77.1	13
82.5	21

=====

# 6
Starting from DFT lattice parameters and positions (GGA-PBE), the X-ray diffraction stick pattern of Na2PtO6 was calculated for Cu Ka.

Atomic structure:
```
9
Lattice="5.8553 0.0000 0.0000 -2.9276 5.0708 0.0000 0.0000 0.0000 3.9539" Properties=species:S:1:pos:R:3 pbc="T T T"
Na 0.0000 3.3805 0.0000
Na 2.9276 1.6903 0.0000
Pt 0.0000 0.0000 0.0000
O -0.7761 1.3442 1.1205
O -2.1515 3.7266 2.8334
O 1.5522 0.0000 1.1205
O 0.7761 1.3442 2.8334
O 4.3031 0.0000 2.8334
O 2.1515 3.7266 1.1205
```

Largest 10 diffraction maxima, sorted by position, 10° ≤ 2θ ≤ 90°:
2θ/deg	I_rel
17.5	100
22.5	23
28.6	41
30.5	27
38.3	49
42.3	17
53.1	19
54.3	11
56.1	18
59.5	11

=====

Copy entry 6 word for word.
Starting from DFT lattice parameters and positions (GGA-PBE), the X-ray diffraction stick pattern of Na2PtO6 was calculated for Cu Ka.

Atomic structure:
```
9
Lattice="5.8553 0.0000 0.0000 -2.9276 5.0708 0.0000 0.0000 0.0000 3.9539" Properties=species:S:1:pos:R:3 pbc="T T T"
Na 0.0000 3.3805 0.0000
Na 2.9276 1.6903 0.0000
Pt 0.0000 0.0000 0.0000
O -0.7761 1.3442 1.1205
O -2.1515 3.7266 2.8334
O 1.5522 0.0000 1.1205
O 0.7761 1.3442 2.8334
O 4.3031 0.0000 2.8334
O 2.1515 3.7266 1.1205
```

Largest 10 diffraction maxima, sorted by position, 10° ≤ 2θ ≤ 90°:
2θ/deg	I_rel
17.5	100
22.5	23
28.6	41
30.5	27
38.3	49
42.3	17
53.1	19
54.3	11
56.1	18
59.5	11

=====

Repeat the first record exactly.
Starting from DFT lattice parameters and positions (GGA-PBE), the X-ray diffraction stick pattern of DyPdPb was calculated for Cu Ka.

Atomic structure:
```
9
Lattice="7.8667 0.0000 0.0000 -3.9334 6.8128 0.0000 0.0000 0.0000 3.8869" Properties=species:S:1:pos:R:3 pbc="T T T"
Dy -2.3572 4.0828 0.0000
Dy 1.5762 2.7300 0.0000
Dy 4.7144 0.0000 0.0000
Pd 0.0000 0.0000 0.0000
Pd 0.0000 4.5419 1.9434
Pd 3.9334 2.2709 1.9434
Pb -1.0451 1.8102 1.9434
Pb 2.0902 0.0000 1.9434
Pb 2.8883 5.0026 1.9434
```

Largest 10 diffraction maxima, sorted by position, 10° ≤ 2θ ≤ 90°:
2θ/deg	I_rel
32.4	100
34.8	48
35.0	59
39.7	38
42.1	22
46.7	20
59.6	21
62.9	20
64.2	31
82.7	10